# 1
The following is a simulated PXRD pattern of BaP8. It was derived from the PBE geometry in the Materials Project, using Cu Kα (λ = 1.5418 Å).

Structural model:
Cell lengths 6.8600, 7.3301, 8.6900 Å; angles 86.36, 83.76, 70.22 degrees
Space group P-1 (No. 2)
One atom of each set of equivalent atoms:
Ba 0.2371 0.1649 0.3206 [2 per cell]
P 0.0233 0.8312 0.2028 [2 per cell]
P 0.0982 0.7263 0.9602 [2 per cell]
P 0.1041 0.3778 0.6725 [2 per cell]
P 0.2634 0.9206 0.8435 [2 per cell]
P 0.2638 0.8233 0.6062 [2 per cell]
P 0.3585 0.4511 0.9972 [2 per cell]
P 0.4097 0.3166 0.7584 [2 per cell]
P 0.4869 0.4580 0.3819 [2 per cell]

Most intense lines, 10° ≤ 2θ ≤ 90°, in order of rising 2θ:
(hkl)  d [Å]  I/Imax
0 1 1  5.464  43.5
1 -1 0  4.071  53.4
1 -1 1  3.745  38.1
1 1 2  3.647  49.4
0 1 -2  3.613  58.3
2 1 1  3.271  100.0
0 2 -1  3.171  44.7
0 0 3  2.878  41.4
2 2 -1  2.648  81.0
1 -2 2  2.297  44.6

---

# 2
The following is a simulated PXRD pattern of BaPPd. It was derived from the PBE geometry in the Materials Project, using Cu Kα (λ = 1.5418 Å).

Structural model:
Cell lengths 6.2976, 7.9905, 7.9244 Å; angles 90.00, 128.52, 90.00 degrees
Space group P2_1/c (No. 14)
One atom of each set of equivalent atoms:
Ba 0.1249 0.0020 0.3132 [4 per cell]
P 0.4567 0.6721 0.3045 [4 per cell]
Pd 0.4968 0.1229 0.8766 [4 per cell]

Most intense lines, 10° ≤ 2θ ≤ 90°, in order of rising 2θ:
(hkl)  d [Å]  I/Imax
0 2 0  3.995  45.2
1 0 -2  3.962  45.0
0 0 2  3.102  63.8
1 1 1  2.844  87.9
2 1 -1  2.830  100.0
1 2 -2  2.813  54.5
1 3 -1  2.446  61.8
1 1 -3  2.436  39.3
2 1 -3  2.425  28.3
1 4 0  1.851  35.4

---

# 3
The following is a simulated PXRD pattern of Ba2PPd2. It was derived from the PBE geometry in the Materials Project, using Cu Kα (λ = 1.5418 Å).

Structural model:
Cell lengths 7.8461, 9.7895, 6.8835 Å; angles 90.00, 90.00, 90.00 degrees
Space group Pnma (No. 62)
One atom of each set of equivalent atoms:
Ba 0.2396 0.0588 0.0050 [8 per cell]
P 0.0886 0.7500 0.8424 [4 per cell]
Pd 0.0458 0.7500 0.1952 [4 per cell]
Pd 0.1053 0.2500 0.4376 [4 per cell]

Most intense lines, 10° ≤ 2θ ≤ 90°, in order of rising 2θ:
(hkl)  d [Å]  I/Imax
0 0 2  3.442  26.5
2 2 0  3.061  69.8
0 2 2  2.815  24.1
1 3 1  2.760  100.0
2 0 2  2.587  42.0
2 1 2  2.501  15.6
3 1 1  2.372  34.3
1 3 3  1.825  13.9
4 2 2  1.609  15.4
3 5 1  1.528  24.0

---

# 4
The following is a simulated PXRD pattern of BaP2Pd2. It was derived from the PBE geometry in the Materials Project, using Cu Kα (λ = 1.5418 Å).

Structural model:
Cell lengths 4.3112, 4.3112, 5.7284 Å; angles 90.00, 90.00, 90.00 degrees
Space group P4/mmm (No. 123)
One atom of each set of equivalent atoms:
Ba 0.0000 0.0000 0.0000 [1 per cell]
P 0.5000 0.5000 0.2904 [2 per cell]
Pd 0.0000 0.5000 0.5000 [2 per cell]

Most intense lines, 10° ≤ 2θ ≤ 90°, in order of rising 2θ:
(hkl)  d [Å]  I/Imax
0 0 1  5.728  16.2
1 0 1  3.445  37.9
0 0 2  2.864  23.2
1 1 1  2.691  100.0
1 0 2  2.386  21.8
2 0 0  2.156  39.4
2 0 2  1.722  20.6
1 1 3  1.618  28.7
3 1 1  1.326  21.6
3 1 3  1.110  17.3

---

# 5
The following is a simulated PXRD pattern of RbBaPS4. It was derived from the PBE geometry in the Materials Project, using Cu Kα (λ = 1.5418 Å).

Structural model:
Cell lengths 11.7277, 6.8325, 10.2143 Å; angles 90.00, 90.00, 90.00 degrees
Space group Pnma (No. 62)
One atom of each set of equivalent atoms:
Rb 0.0843 0.2500 0.1542 [4 per cell]
Ba 0.1490 0.2500 0.6056 [4 per cell]
P 0.1841 0.7500 0.3926 [4 per cell]
S 0.0815 0.7500 0.2286 [4 per cell]
S 0.0902 0.7500 0.5637 [4 per cell]
S 0.2159 0.0055 0.8846 [8 per cell]

Most intense lines, 10° ≤ 2θ ≤ 90°, in order of rising 2θ:
(hkl)  d [Å]  I/Imax
2 1 0  4.450  52.8
1 1 2  3.862  100.0
0 2 0  3.416  66.0
3 0 2  3.104  79.5
2 0 3  2.946  42.2
3 1 2  2.824  79.6
1 2 2  2.760  93.3
3 2 1  2.495  42.0
4 2 0  2.225  37.6
2 1 4  2.215  36.7

---

# 6
The following is a simulated PXRD pattern of BaP2Rh2. It was derived from the PBE geometry in the Materials Project, using Cu Kα (λ = 1.5418 Å).

Structural model:
Cell lengths 3.9859, 3.9859, 12.7596 Å; angles 90.00, 90.00, 90.00 degrees
Space group I4/mmm (No. 139)
One atom of each set of equivalent atoms:
Ba 0.0000 0.0000 0.0000 [2 per cell]
P 0.0000 0.0000 0.3504 [4 per cell]
Rh 0.0000 0.5000 0.2500 [4 per cell]

Most intense lines, 10° ≤ 2θ ≤ 90°, in order of rising 2θ:
(hkl)  d [Å]  I/Imax
0 0 2  6.380  24.0
1 0 1  3.805  22.9
0 0 4  3.190  36.2
1 0 3  2.908  48.3
1 1 2  2.578  100.0
2 0 0  1.993  35.8
1 1 6  1.698  40.2
2 0 4  1.690  22.8
2 1 3  1.644  16.7
3 1 2  1.237  19.4

---

# 7
The following is a simulated PXRD pattern of BaUP2S8. It was derived from the PBE geometry in the Materials Project, using Cu Kα (λ = 1.5418 Å).

Structural model:
Cell lengths 11.4801, 11.4801, 9.7810 Å; angles 90.00, 90.00, 90.00 degrees
Space group P4_2/mbc (No. 135)
One atom of each set of equivalent atoms:
Ba 0.0000 0.5000 0.2500 [4 per cell]
U 0.0000 0.0000 0.2500 [4 per cell]
P 0.0367 0.2298 0.0000 [8 per cell]
S 0.0666 0.7787 0.1730 [16 per cell]
S 0.0754 0.8700 0.5000 [8 per cell]
S 0.1251 0.3650 0.5000 [8 per cell]

Most intense lines, 10° ≤ 2θ ≤ 90°, in order of rising 2θ:
(hkl)  d [Å]  I/Imax
1 1 0  8.118  31.3
2 0 0  5.740  100.0
2 0 2  3.723  66.8
2 2 2  3.123  51.4
4 0 0  2.870  17.5
4 2 0  2.567  34.4
4 0 2  2.475  40.5
4 2 2  2.273  48.6
2 0 4  2.250  25.4
6 2 2  1.702  20.5